[1]
Theoretical XRD peak list of NiAu3 for Cu Kα (weighted mean of Kα1 and Kα2), from the GGA-PBE geometry in Alexandria.
No peak broadening, texture or thermal motion is included.

The 6 most intense peaks (10° ≤ 2θ ≤ 90°), by intensity:
2θ = 41.3°, I = 100, (1 0 2)
2θ = 36.4°, I = 27, (1 0 0)
2θ = 38.2°, I = 23, (0 0 4)
2θ = 65.4°, I = 18, (1 1 0)
2θ = 78.4°, I = 18, (1 1 4)
2θ = 80.4°, I = 15, (2 0 2)

Atomic structure:
Lattice parameters (Å, degrees): 2.8522 2.8522 9.4224 90.00 90.00 120.00
Space group P-6m2 (No. 187)
One atom of each set of equivalent atoms:
Ni1 0.0000 0.0000 0.0000 x1
Au1 0.0000 0.0000 0.5000 x1
Au2 0.6667 0.3333 0.2271 x2

---

[2]
Theoretical XRD peak list of PaNi9Au2 for Cu Kα (weighted mean of Kα1 and Kα2), from the GGA-PBE geometry in Alexandria.
No peak broadening, texture or thermal motion is included.

The 6 most intense peaks (10° ≤ 2θ ≤ 90°), by intensity:
2θ = 39.7°, I = 100, (3 1 1)
2θ = 45.4°, I = 58, (2 1 2)
2θ = 44.3°, I = 42, (3 2 1)
2θ = 34.7°, I = 34, (3 1 0)
2θ = 30.8°, I = 27, (2 1 1)
2θ = 43.9°, I = 24, (2 0 2)

Atomic structure:
Lattice parameters (Å, degrees): 8.1691 8.1691 4.7724 90.00 90.00 90.00
Space group P4/mbm (No. 127)
One atom of each set of equivalent atoms:
Pa1 0.0000 0.0000 0.0000 x2
Ni1 0.0000 0.5000 0.5000 x2
Ni2 0.0632 0.2043 0.5000 x8
Ni3 0.1778 0.6778 0.2461 x8
Au1 0.1216 0.3784 0.0000 x4

---

What is the formula in the first record?
NiAu3